No. 1
Starting from a cell relaxed with PBE+U, the powder diffractogram of K2V2RhO7 was computed for Cu Kα (λ = 1.5418 Å).
No peak broadening, texture or thermal motion is included.

Principal peaks in the range 2θ from 10° to 80°, most intense first:
Position (°2θ), I_rel
12.2, 100
30.9, 87
19.5, 59
27.1, 47
33.8, 35
46.5, 35
24.1, 32
39.6, 29
60.0, 23
64.4, 18

Crystal structure
abc: 8.0119 8.0119 8.0119
angles: 42.31 42.31 42.31
Sites, in units of the cell vectors:
K 0.2350 0.2350 0.2350
K 0.7650 0.7650 0.7650
V 0.0833 0.0833 0.0833
V 0.9167 0.9167 0.9167
Rh 0.5000 0.5000 0.5000
O 0.0000 0.0000 0.0000
O 0.2143 0.7270 0.7270
O 0.2730 0.2730 0.7857
O 0.2730 0.7857 0.2730
O 0.7270 0.2143 0.7270
O 0.7270 0.7270 0.2143
O 0.7857 0.2730 0.2730


No. 2
Starting from a cell relaxed with PBE+U, the powder diffractogram of KV2RhO8 was computed for Cu Kα (λ = 1.5418 Å).
No peak broadening, texture or thermal motion is included.

Principal peaks in the range 2θ from 10° to 80°, most intense first:
Position (°2θ), I_rel
21.9, 100
30.4, 60
31.8, 53
18.2, 36
12.0, 31
44.6, 29
55.8, 22
60.0, 17
51.2, 17
66.5, 11

Crystal structure
abc: 5.6221 5.6221 7.3803
angles: 90.00 90.00 120.00
Sites, in units of the cell vectors:
K 0.0000 0.0000 0.0000
V 0.3333 0.6667 0.2709
V 0.6667 0.3333 0.7291
Rh 0.0000 0.0000 0.5000
O 0.1604 0.3209 0.3431
O 0.1604 0.8396 0.3431
O 0.3209 0.1604 0.6569
O 0.3333 0.6667 0.0463
O 0.6667 0.3333 0.9537
O 0.6791 0.8396 0.3431
O 0.8396 0.1604 0.6569
O 0.8396 0.6791 0.6569